1.
For Ti2Nb2Ni2C, DFT lattice parameters and positions (GGA-PBE) gives the computed powder X-ray diffraction pattern in this record (Cu Kα, 1.54184 Å).
Intensities are scaled so that the largest is 100.

Structure:
a = 8.1721 Å, b = 8.1721 Å, c = 8.1721 Å
α = 119.63°, β = 119.63°, γ = 90.64°
Fractional coordinates of all 28 atoms:
Ti  0.3153  0.3153  0.6307
Ti  0.3153  0.6847  0.0000
Ti  0.3748  0.1272  0.2476
Ti  0.6847  0.3153  0.0000
Ti  0.6847  0.6847  0.3693
Ti  0.8728  0.1204  0.2476
Ti  0.8728  0.6252  0.7524
Ti  0.8796  0.1272  0.7524
Nb  0.0660  0.5660  0.5000
Nb  0.0672  0.5672  0.1344
Nb  0.0672  0.9328  0.5000
Nb  0.3172  0.3172  0.0000
Nb  0.4328  0.5672  0.5000
Nb  0.4328  0.9328  0.8656
Nb  0.4340  0.9340  0.5000
Nb  0.6828  0.6828  0.0000
Ni  0.0775  0.2359  0.1584
Ni  0.0775  0.9191  0.8416
Ni  0.0809  0.9225  0.1584
Ni  0.6653  0.0024  0.3372
Ni  0.6653  0.3281  0.6628
Ni  0.6719  0.3347  0.3372
Ni  0.7641  0.9225  0.8416
Ni  0.9976  0.3347  0.6628
C  0.3727  0.6212  0.7515
C  0.3788  0.1303  0.7515
C  0.3788  0.6273  0.2485
C  0.8697  0.6212  0.2485

Main lines, most intense first (2θ from 15° to 90°):
2θ = 40.3°, I = 100.0
2θ = 40.5°, I = 83.6
2θ = 38.0°, I = 65.7
2θ = 40.8°, I = 53.0
2θ = 68.5°, I = 41.5
2θ = 69.0°, I = 31.8
2θ = 38.2°, I = 26.4
2θ = 82.7°, I = 22.3
2θ = 33.8°, I = 22.1
2θ = 44.3°, I = 21.2

---

2.
For K3AlI6, DFT lattice parameters and positions (GGA-PBE) gives the computed powder X-ray diffraction pattern in this record (Cu Kα, 1.54184 Å).
Intensities are scaled so that the largest is 100.

Structure:
a = 8.6440 Å, b = 8.6440 Å, c = 8.6440 Å
α = 60.00°, β = 60.00°, γ = 60.00°
Fractional coordinates of all 10 atoms:
K  0.0000  0.0000  0.0000
K  0.2500  0.2500  0.2500
K  0.7500  0.7500  0.7500
Al  0.5000  0.5000  0.5000
I  0.2734  0.2734  0.7266
I  0.2734  0.7266  0.2734
I  0.2734  0.7266  0.7266
I  0.7266  0.2734  0.2734
I  0.7266  0.2734  0.7266
I  0.7266  0.7266  0.2734

Main lines, most intense first (2θ from 15° to 90°):
2θ = 25.2°, I = 100.0
2θ = 29.2°, I = 70.9
2θ = 41.8°, I = 47.1
2θ = 49.5°, I = 36.7
2θ = 38.3°, I = 16.4
2θ = 68.7°, I = 15.4
2θ = 51.8°, I = 14.8
2θ = 81.4°, I = 14.0
2θ = 57.9°, I = 12.0
2θ = 32.8°, I = 11.9

---

3.
For CeEr3, DFT lattice parameters and positions (GGA-PBE) gives the computed powder X-ray diffraction pattern in this record (Cu Kα, 1.54184 Å).
Intensities are scaled so that the largest is 100.

Structure:
a = 7.1146 Å, b = 7.1146 Å, c = 5.6882 Å
α = 90.00°, β = 90.00°, γ = 120.00°
Fractional coordinates of all 8 atoms:
Ce  0.3333  0.6667  0.2500
Ce  0.6667  0.3333  0.7500
Er  0.1655  0.3310  0.7500
Er  0.1655  0.8345  0.7500
Er  0.3310  0.1655  0.2500
Er  0.6690  0.8345  0.7500
Er  0.8345  0.1655  0.2500
Er  0.8345  0.6690  0.2500

Main lines, most intense first (2θ from 15° to 90°):
2θ = 33.1°, I = 100.0
2θ = 31.5°, I = 25.4
2θ = 29.0°, I = 23.5
2θ = 61.5°, I = 22.5
2θ = 57.0°, I = 21.2
2θ = 51.4°, I = 19.3
2θ = 62.5°, I = 16.1
2θ = 43.3°, I = 15.9
2θ = 85.0°, I = 13.9
2θ = 87.9°, I = 8.7

---

4.
For K3SbSe3, DFT lattice parameters and positions (GGA-PBE) gives the computed powder X-ray diffraction pattern in this record (Cu Kα, 1.54184 Å).
Intensities are scaled so that the largest is 100.

Structure:
a = 9.9806 Å, b = 9.9806 Å, c = 9.9806 Å
α = 90.00°, β = 90.00°, γ = 90.00°
Fractional coordinates of all 28 atoms:
K  0.0783  0.0783  0.0783
K  0.1826  0.3174  0.6826
K  0.1879  0.6879  0.8121
K  0.3121  0.3121  0.3121
K  0.3174  0.6826  0.1826
K  0.4217  0.9217  0.5783
K  0.5783  0.4217  0.9217
K  0.6826  0.1826  0.3174
K  0.6879  0.8121  0.1879
K  0.8121  0.1879  0.6879
K  0.8174  0.8174  0.8174
K  0.9217  0.5783  0.4217
Sb  0.0277  0.9723  0.4723
Sb  0.4723  0.0277  0.9723
Sb  0.5277  0.5277  0.5277
Sb  0.9723  0.4723  0.0277
Se  0.0026  0.2208  0.3976
Se  0.1024  0.9974  0.7208
Se  0.2208  0.3976  0.0026
Se  0.2792  0.6024  0.5026
Se  0.3976  0.0026  0.2208
Se  0.4974  0.7792  0.8976
Se  0.5026  0.2792  0.6024
Se  0.6024  0.5026  0.2792
Se  0.7208  0.1024  0.9974
Se  0.7792  0.8976  0.4974
Se  0.8976  0.4974  0.7792
Se  0.9974  0.7208  0.1024

Main lines, most intense first (2θ from 15° to 90°):
2θ = 28.3°, I = 100.0
2θ = 15.4°, I = 50.0
2θ = 33.6°, I = 46.2
2θ = 46.4°, I = 27.8
2θ = 40.4°, I = 23.8
2θ = 17.8°, I = 20.9
2θ = 21.8°, I = 19.7
2θ = 56.9°, I = 17.4
2θ = 44.5°, I = 16.0
2θ = 47.3°, I = 15.2

---

5.
For Sr5Ir3O11, DFT lattice parameters and positions (GGA-PBE) gives the computed powder X-ray diffraction pattern in this record (Cu Kα, 1.54184 Å).
Intensities are scaled so that the largest is 100.

Structure:
a = 3.9744 Å, b = 3.9744 Å, c = 16.7703 Å
α = 90.20°, β = 90.20°, γ = 90.93°
Fractional coordinates of all 19 atoms:
Sr  0.0000  0.0000  0.0000
Sr  0.0149  0.0194  0.7700
Sr  0.4828  0.5105  0.3893
Sr  0.4895  0.5172  0.6107
Sr  0.9806  0.9851  0.2300
Ir  0.4948  0.4955  0.1229
Ir  0.5045  0.5052  0.8771
Ir  0.9918  0.0082  0.5000
O  0.0097  0.5577  0.8793
O  0.4423  0.9903  0.1207
O  0.4899  0.0321  0.5000
O  0.4951  0.4971  0.2440
O  0.4997  0.5003  0.0000
O  0.5029  0.5049  0.7560
O  0.5573  0.0102  0.8794
O  0.9679  0.5101  0.5000
O  0.9898  0.4427  0.1206
O  0.9921  0.0041  0.3759
O  0.9959  0.0079  0.6241

Main lines, most intense first (2θ from 15° to 90°):
2θ = 30.9°, I = 100.0
2θ = 31.1°, I = 94.9
2θ = 31.6°, I = 58.5
2θ = 45.7°, I = 57.6
2θ = 32.1°, I = 56.3
2θ = 15.9°, I = 44.0
2θ = 55.9°, I = 38.8
2θ = 23.0°, I = 33.8
2θ = 43.2°, I = 27.7
2θ = 54.5°, I = 19.9

---

6.
For Ca2Zn, DFT lattice parameters and positions (GGA-PBE) gives the computed powder X-ray diffraction pattern in this record (Cu Kα, 1.54184 Å).
Intensities are scaled so that the largest is 100.

Structure:
a = 7.4585 Å, b = 7.4585 Å, c = 3.9484 Å
α = 90.00°, β = 90.00°, γ = 90.00°
Fractional coordinates of all 6 atoms:
Ca  0.2178  0.2178  0.0000
Ca  0.2822  0.7178  0.5000
Ca  0.7178  0.2822  0.5000
Ca  0.7822  0.7822  0.0000
Zn  0.0000  0.0000  0.5000
Zn  0.5000  0.5000  0.0000

Main lines, most intense first (2θ from 15° to 90°):
2θ = 16.8°, I = 100.0
2θ = 35.2°, I = 85.7
2θ = 28.2°, I = 69.0
2θ = 34.0°, I = 63.6
2θ = 43.0°, I = 45.0
2θ = 25.5°, I = 38.5
2θ = 44.8°, I = 24.9
2θ = 58.4°, I = 24.1
2θ = 72.3°, I = 22.3
2θ = 48.8°, I = 17.8

---

7.
For SiPb2O4, DFT lattice parameters and positions (GGA-PBE) gives the computed powder X-ray diffraction pattern in this record (Cu Kα, 1.54184 Å).
Intensities are scaled so that the largest is 100.

Structure:
a = 7.3201 Å, b = 7.3201 Å, c = 19.8060 Å
α = 96.05°, β = 96.05°, γ = 64.31°
Fractional coordinates of all 56 atoms:
Si  0.1580  0.8332  0.6692
Si  0.1668  0.8420  0.8308
Si  0.4089  0.5817  0.1691
Si  0.4183  0.5911  0.3309
Si  0.5817  0.4089  0.6691
Si  0.5911  0.4183  0.8309
Si  0.8332  0.1580  0.1692
Si  0.8420  0.1668  0.3308
Pb  0.0015  0.7529  0.0035
Pb  0.1052  0.3507  0.6582
Pb  0.1061  0.3576  0.8416
Pb  0.2471  0.9985  0.4965
Pb  0.2484  0.5007  0.4988
Pb  0.3507  0.1052  0.1582
Pb  0.3576  0.1061  0.3416
Pb  0.4993  0.7516  0.0012
Pb  0.5007  0.2484  0.9988
Pb  0.6424  0.8939  0.6584
Pb  0.6493  0.8948  0.8418
Pb  0.7516  0.4993  0.5012
Pb  0.7529  0.0015  0.5035
Pb  0.8939  0.6424  0.1584
Pb  0.8948  0.6493  0.3418
Pb  0.9985  0.2471  0.9965
O  0.0025  0.2129  0.1389
O  0.0259  0.2052  0.3747
O  0.0861  0.3392  0.5448
O  0.1031  0.8969  0.7500
O  0.1648  0.4116  0.9539
O  0.2052  0.0259  0.8747
O  0.2129  0.0025  0.6389
O  0.2255  0.5416  0.1255
O  0.2474  0.5405  0.3622
O  0.3392  0.0861  0.0448
O  0.3546  0.6454  0.2500
O  0.3660  0.6160  0.6671
O  0.3840  0.6340  0.8329
O  0.4116  0.1648  0.4539
O  0.4584  0.7745  0.3745
O  0.4595  0.7526  0.1378
O  0.5405  0.2474  0.8622
O  0.5416  0.2255  0.6255
O  0.5884  0.8352  0.5461
O  0.6160  0.3660  0.1671
O  0.6340  0.3840  0.3329
O  0.6454  0.3546  0.7500
O  0.6608  0.9139  0.9552
O  0.7526  0.4595  0.6378
O  0.7745  0.4584  0.8745
O  0.7871  0.9975  0.3611
O  0.7948  0.9741  0.1253
O  0.8352  0.5884  0.0461
O  0.8969  0.1031  0.2500
O  0.9139  0.6608  0.4552
O  0.9741  0.7948  0.6253
O  0.9975  0.7871  0.8611

Main lines, most intense first (2θ from 15° to 90°):
2θ = 27.8°, I = 100.0
2θ = 27.2°, I = 64.5
2θ = 34.4°, I = 58.8
2θ = 29.3°, I = 34.2
2θ = 32.4°, I = 28.9
2θ = 31.2°, I = 27.6
2θ = 43.8°, I = 24.1
2θ = 46.6°, I = 18.7
2θ = 54.8°, I = 18.2
2θ = 31.6°, I = 18.2

---

8.
For NdGe2Pd2, DFT lattice parameters and positions (GGA-PBE) gives the computed powder X-ray diffraction pattern in this record (Cu Kα, 1.54184 Å).
Intensities are scaled so that the largest is 100.

Structure:
a = 5.9693 Å, b = 5.9693 Å, c = 5.9693 Å
α = 137.32°, β = 137.32°, γ = 61.94°
Fractional coordinates of all 5 atoms:
Nd  0.0000  0.0000  0.0000
Ge  0.3781  0.3781  0.0000
Ge  0.6219  0.6219  0.0000
Pd  0.2500  0.7500  0.5000
Pd  0.7500  0.2500  0.5000

Main lines, most intense first (2θ from 15° to 90°):
2θ = 34.0°, I = 100.0
2θ = 41.6°, I = 55.7
2θ = 33.4°, I = 46.7
2θ = 54.3°, I = 23.1
2θ = 71.0°, I = 22.9
2θ = 60.3°, I = 18.3
2θ = 49.2°, I = 17.8
2θ = 46.2°, I = 15.4
2θ = 62.2°, I = 15.0
2θ = 66.3°, I = 14.3